Li5MnCo2O8: simulated powder diffractogram (Cu Kα (weighted mean of Kα1 and Kα2)), based on a structure optimized by DFT (PBE+U).
Lines closer than 0.1° are merged.

Cell and atoms:
```
data_Li5MnCo2O8
_symmetry_space_group_name_H-M 'P 1 2/m 1'
_symmetry_Int_Tables_number 10
_cell_length_a 5.104
_cell_length_b 2.916
_cell_length_c 9.767
_cell_angle_alpha 90.00
_cell_angle_beta 101.04
_cell_angle_gamma 90.00
loop_
_symmetry_equiv_pos_as_xyz
'x,y,z'
'-x,-y,-z'
'-x,y,-z'
'x,-y,z'
loop_
_atom_site_label
_atom_site_fract_x
_atom_site_fract_y
_atom_site_fract_z
_atom_site_occupancy
Li1 0.000 0.000 0.000 1
Li2 0.000 0.500 0.500 1
Li3 0.249 0.000 0.757 1
Li4 0.500 0.500 0.000 1
Mn1 0.500 0.000 0.500 1
Co1 0.227 0.500 0.234 1
O1 0.105 0.500 0.863 1
O2 0.156 0.000 0.377 1
O3 0.373 0.000 0.137 1
O4 0.395 0.500 0.611 1
```

The 8 most intense peaks (15 to 90 degrees two-theta), by intensity:
| index | d (Å) | I_rel |
| --- | --- | --- |
| 1 0 -1 | 4.836 | 100 |
| 1 1 -3 | 2.079 | 63 |
| 0 1 2 | 2.492 | 30 |
| 2 0 2 | 2.064 | 28 |
| 0 2 0 | 1.459 | 23 |
| 3 1 -1 | 1.469 | 16 |
| 0 0 3 | 3.195 | 12 |
| 0 0 2 | 4.793 | 12 |

***

Li7Mn2Co3O12: simulated powder diffractogram (Cu Kα (weighted mean of Kα1 and Kα2)), based on a structure optimized by DFT (PBE+U).
Lines closer than 0.1° are merged.

Cell and atoms:
```
data_Li7Mn2Co3O12
_symmetry_space_group_name_H-M 'P 1'
_symmetry_Int_Tables_number 1
_cell_length_a 5.190
_cell_length_b 5.737
_cell_length_c 7.706
_cell_angle_alpha 100.72
_cell_angle_beta 107.81
_cell_angle_gamma 90.01
loop_
_symmetry_equiv_pos_as_xyz
'x,y,z'
loop_
_atom_site_label
_atom_site_fract_x
_atom_site_fract_y
_atom_site_fract_z
_atom_site_occupancy
Li1 0.000 0.000 0.000 1
Li2 0.000 0.499 0.000 1
Li3 0.313 0.827 0.311 1
Li4 0.330 0.327 0.310 1
Li5 0.490 0.248 0.990 1
Li6 0.652 0.662 0.657 1
Li7 0.658 0.167 0.663 1
Mn1 0.156 0.414 0.660 1
Mn2 0.161 0.915 0.660 1
Co1 0.489 0.747 0.991 1
Co2 0.816 0.079 0.311 1
Co3 0.818 0.575 0.312 1
O1 0.062 0.700 0.800 1
O2 0.071 0.200 0.805 1
O3 0.228 0.626 0.506 1
O4 0.241 0.128 0.513 1
O5 0.435 0.022 0.155 1
O6 0.438 0.555 0.157 1
O7 0.525 0.467 0.820 1
O8 0.527 0.942 0.819 1
O9 0.771 0.371 0.493 1
O10 0.781 0.873 0.485 1
O11 0.910 0.789 0.157 1
O12 0.921 0.293 0.175 1
```

The 8 most intense peaks (15 to 90 degrees two-theta), by intensity:
| index | d (Å) | I_rel |
| --- | --- | --- |
| 1 0 -1 | 4.829 | 100 |
| 1 2 -3 | 2.043 | 54 |
| 2 0 1 | 2.138 | 31 |
| 0 2 -2 | 2.462 | 24 |
| 3 2 -2 | 1.481 | 15 |
| 1 -2 4 | 1.473 | 15 |
| 1 0 2 | 2.553 | 15 |
| 2 2 -4 | 1.582 | 9 |